# 1
# ErTa3O9
Calculated powder diffractogram, Cu Ka. Input: DFT lattice parameters and positions (PBE).
Peak positions follow from Bragg's law for the DFT cell and can differ from measured ones.

Principal peaks in the range 2θ = 10–90°, low angle first:
| d_spacing | intensity | hkl |
| --- | --- | --- |
| 3.748 | 60 | 0 2 0 |
| 3.330 | 100 | 1 0 -2 |
| 3.192 | 75 | 1 0 2 |
| 3.053 | 47 | 1 2 0 |
| 2.889 | 48 | 1 2 -1 |
| 2.842 | 86 | 1 2 1 |
| 2.633 | 56 | 2 0 0 |
| 1.550 | 39 | 3 2 1 |

Structural model:
a b c (Å): 5.2703 7.4960 8.3052
angles (deg): 90.00 92.49 90.00
Space group P2_1/m (No. 11)
Asymmetric unit:
Er 0.0340 0.2500 0.4346 [2 per cell]
Ta 0.0000 0.0000 0.0000 [2 per cell]
Ta 0.4710 0.0073 0.6960 [4 per cell]
O 0.0987 0.2500 0.9775 [2 per cell]
O 0.1468 0.5661 0.7838 [4 per cell]
O 0.2562 0.5446 0.4673 [4 per cell]
O 0.3269 0.5549 0.1203 [4 per cell]
O 0.3312 0.2500 0.6524 [2 per cell]
O 0.4189 0.2500 0.3144 [2 per cell]

# 2
# Er3Te2O2
Calculated powder diffractogram, Cu Ka. Input: DFT lattice parameters and positions (PBE).
Peak positions follow from Bragg's law for the DFT cell and can differ from measured ones.

Principal peaks in the range 2θ = 10–90°, low angle first:
| d_spacing | intensity | hkl |
| --- | --- | --- |
| 3.458 | 79 | 1 -1 0 |
| 2.852 | 85 | 0 1 2 |
| 2.719 | 54 | 0 2 -1 |
| 2.541 | 100 | 1 1 -1 |
| 2.501 | 42 | 0 1 -3 |
| 2.482 | 34 | 1 0 2 |
| 1.735 | 33 | 1 2 1 |
| 1.538 | 26 | 2 0 2 |

Structural model:
a b c (Å): 3.6513 5.7941 7.7827
angles (deg): 101.03 90.14 108.24
Space group P-1 (No. 2)
Asymmetric unit:
Er 0.0000 0.0000 0.0000 [1 per cell]
Er 0.2208 0.4416 0.7949 [2 per cell]
Te 0.1148 0.2259 0.3697 [2 per cell]
O 0.3636 0.7264 0.0467 [2 per cell]

Q: Number 2 is which compound?
A: Er3Te2O2